Record 1
This entry pairs a crystal structure of SbMo2S2 with its calculated XRD peak list. Radiation: Cu Kα, 1.54184 Å. Structure: DFT lattice parameters and positions (PBE).
No peak broadening, texture or thermal motion is included.

Largest 10 diffraction maxima, by intensity, 2θ from 5° to 70°:
- 39.17 deg, d = 2.300 Å, intensity 100, (1 1 2)
- 13.93 deg, d = 6.359 Å, intensity 70, (1 0 0)
- 34.16 deg, d = 2.625 Å, intensity 61, (0 1 2)
- 9.66 deg, d = 9.157 Å, intensity 56, (0 0 1)
- 34.67 deg, d = 2.588 Å, intensity 44, (2 0 -3)
- 14.60 deg, d = 6.067 Å, intensity 43, (1 0 -1)
- 40.44 deg, d = 2.230 Å, intensity 40, (1 1 -3)
- 57.52 deg, d = 1.602 Å, intensity 33, (0 2 0)
- 33.97 deg, d = 2.639 Å, intensity 31, (1 1 1)
- 26.96 deg, d = 3.308 Å, intensity 28, (1 0 2)

```
data_SbMo2S2
_chemical_formula_sum 'Sb2 Mo4 S4'
_symmetry_space_group_name_H-M 'P 1 21/m 1'
_symmetry_Int_Tables_number 11
_cell_length_a 6.6161
_cell_length_b 3.2036
_cell_length_c 9.5277
_cell_angle_alpha 90.00
_cell_angle_beta 106.03
_cell_angle_gamma 90.00
loop_
_symmetry_equiv_pos_as_xyz
'x,y,z'
'-x,-y,-z'
'-x,y+1/2,-z'
'x,-y+1/2,z'
loop_
_atom_site_label
_atom_site_type_symbol
_atom_site_fract_x
_atom_site_fract_y
_atom_site_fract_z
Sb1 Sb 0.0038 0.2500 0.1612
Mo1 Mo 0.1054 0.2500 0.6149
Mo2 Mo 0.3383 0.2500 0.0208
S1 S 0.2623 0.7500 0.4930
S2 S 0.4703 0.2500 0.8113
```


Record 2
This entry pairs a crystal structure of Mo2SeS3 with its calculated XRD peak list. Radiation: Cu Kα, 1.54184 Å. Structure: DFT lattice parameters and positions (PBE).
No peak broadening, texture or thermal motion is included.

Largest 10 diffraction maxima, by intensity, 2θ from 5° to 70°:
- 11.68 deg, d = 7.578 Å, intensity 100, (0 0 5)
- 37.39 deg, d = 2.405 Å, intensity 47, (1 0 8)
- 7.00 deg, d = 12.629 Å, intensity 37, (0 0 3)
- 44.96 deg, d = 2.016 Å, intensity 36, (1 0 13)
- 32.07 deg, d = 2.791 Å, intensity 24, (1 0 0)
- 14.02 deg, d = 6.315 Å, intensity 20, (0 0 6)
- 57.15 deg, d = 1.612 Å, intensity 16, (1 1 0)
- 34.23 deg, d = 2.620 Å, intensity 11, (1 0 5)
- 46.75 deg, d = 1.943 Å, intensity 9, (1 0 14)
- 58.54 deg, d = 1.577 Å, intensity 9, (1 1 5)

```
data_Mo2SeS3
_chemical_formula_sum 'Mo4 Se2 S6'
_symmetry_space_group_name_H-M 'P 3 m 1'
_symmetry_Int_Tables_number 156
_cell_length_a 3.2239
_cell_length_b 3.2239
_cell_length_c 37.8884
_cell_angle_alpha 90.00
_cell_angle_beta 90.00
_cell_angle_gamma 120.00
loop_
_symmetry_equiv_pos_as_xyz
'x,y,z'
'-y,x-y,z'
'-x+y,-x,z'
'-y,-x,z'
'-x+y,y,z'
'x,x-y,z'
loop_
_atom_site_label
_atom_site_type_symbol
_atom_site_fract_x
_atom_site_fract_y
_atom_site_fract_z
Mo1 Mo 0.0000 0.0000 0.0000
Mo2 Mo 0.0000 0.0000 0.3756
Mo3 Mo 0.3333 0.6667 0.1889
Mo4 Mo 0.3333 0.6667 0.5666
Se1 Se 0.0000 0.0000 0.5215
Se2 Se 0.0000 0.0000 0.6118
S1 S 0.0000 0.0000 0.1479
S2 S 0.0000 0.0000 0.2300
S3 S 0.3333 0.6667 0.0411
S4 S 0.3333 0.6667 0.3345
S5 S 0.3333 0.6667 0.4167
S6 S 0.3333 0.6667 0.9589
```